NaNi2H3S2O10: calculated powder diffractogram (Cu Kα (weighted mean of Kα1 and Kα2)), based on a structure optimized by DFT (PBE+U).

Crystal structure
a = 14.5437 Å, b = 5.9588 Å, c = 5.5579 Å
α = 90.00°, β = 111.56°, γ = 90.00°
Space group Cm (No. 8)
Inequivalent atoms, fractional coordinates:
Na1 0.0000 0.0000 0.0000 [2 per cell]
Ni1 0.2466 0.2559 0.5041 [4 per cell]
H1 0.0830 0.5000 0.4062 [2 per cell]
H2 0.1138 0.0000 0.5104 [2 per cell]
H3 0.4167 0.0000 0.5940 [2 per cell]
S1 0.1212 0.5000 0.8656 [2 per cell]
S2 0.3873 0.0000 0.1743 [2 per cell]
O1 0.0593 0.2964 0.8190 [4 per cell]
O2 0.1498 0.5000 0.5415 [2 per cell]
O3 0.1567 0.0000 0.4103 [2 per cell]
O4 0.2916 0.0000 0.9626 [2 per cell]
O5 0.2984 0.5000 0.3503 [2 per cell]
O6 0.3459 0.5000 0.6419 [2 per cell]
O7 0.3529 0.0000 0.4445 [2 per cell]
O8 0.4455 0.2036 0.2073 [4 per cell]

The 10 most intense peaks (2θ = 10–80°), by angle:
2θ 13.09, I = 54.6; 2θ 17.15, I = 33.0; 2θ 17.35, I = 27.2; 2θ 25.24, I = 100.0; 2θ 25.68, I = 80.2; 2θ 32.22, I = 43.3; 2θ 34.74, I = 24.8; 2θ 39.86, I = 30.9; 2θ 40.35, I = 33.1; 2θ 52.83, I = 21.4